Record 1
The following is a computed powder diffractogram of Y5Ho8Mg. It was derived from DFT lattice parameters and positions (PBE), using Cu Kα (λ = 1.5418 Å).
Peak positions follow from Bragg's law for the DFT cell and can differ from measured ones.

Structure:
```
data_Y5Ho8Mg
_chemical_formula_sum 'Y10 Ho16 Mg2'
_cell_length_a 9.5826
_cell_length_b 9.5826
_cell_length_c 9.9036
_cell_angle_alpha 90.00
_cell_angle_beta 90.00
_cell_angle_gamma 90.00
_space_group_name_H-M_alt 'I -4'
_space_group_IT_number 82
loop_
_space_group_symop_operation_xyz
'x,y,z'
'y,-x,-z'
'-x,-y,z'
'-y,x,-z'
'x+1/2,y+1/2,z+1/2'
'y+1/2,-x+1/2,-z+1/2'
'-x+1/2,-y+1/2,z+1/2'
'-y+1/2,x+1/2,-z+1/2'
loop_
_atom_site_label
_atom_site_type_symbol
_atom_site_fract_x
_atom_site_fract_y
_atom_site_fract_z
_atom_site_occupancy
Y1 Y 0.0000 0.0000 0.0000 1
Y2 Y 0.1059 0.2071 0.5814 1
Ho1 Ho 0.0677 0.3285 0.9094 1
Ho2 Ho 0.0919 0.1820 0.2473 1
Mg1 Mg 0.0000 0.5000 0.2500 1
```

Peak list (8 most intense, 2θ = 10–90°, low angle first)
d [Å], 2theta, I (rel.), (hkl)
3.933, 22.61, 30, 1 2 1
3.121, 28.60, 42, 1 0 3
3.034, 29.44, 100, 3 1 0
2.796, 32.01, 19, 2 2 2
2.615, 34.29, 75, 1 2 3
2.585, 34.71, 38, 3 1 2
2.567, 34.95, 36, 2 3 1
1.881, 48.39, 21, 1 5 0


Record 2
The following is a computed powder diffractogram of Y3Ho6Mg. It was derived from DFT lattice parameters and positions (PBE), using Cu Kα (λ = 1.5418 Å).
Peak positions follow from Bragg's law for the DFT cell and can differ from measured ones.

Structure:
```
data_Y3Ho6Mg
_chemical_formula_sum 'Y12 Ho24 Mg4'
_cell_length_a 9.3514
_cell_length_b 14.7381
_cell_length_c 9.0114
_cell_angle_alpha 90.00
_cell_angle_beta 90.00
_cell_angle_gamma 90.00
_space_group_name_H-M_alt 'C m c 21'
_space_group_IT_number 36
loop_
_space_group_symop_operation_xyz
'x,y,z'
'-x,-y,z+1/2'
'-x,y,z'
'x,-y,z+1/2'
'x+1/2,y+1/2,z'
'-x+1/2,-y+1/2,z+1/2'
'-x+1/2,y+1/2,z'
'x+1/2,-y+1/2,z+1/2'
loop_
_atom_site_label
_atom_site_type_symbol
_atom_site_fract_x
_atom_site_fract_y
_atom_site_fract_z
_atom_site_occupancy
Y1 Y 0.0000 0.0349 0.0000 1
Y2 Y 0.1767 0.3551 0.5092 1
Ho1 Ho 0.0000 0.2024 0.7264 1
Ho2 Ho 0.0000 0.4353 0.8572 1
Ho3 Ho 0.1757 0.1512 0.3408 1
Ho4 Ho 0.2144 0.4312 0.1726 1
Mg1 Mg 0.0000 0.2612 0.0805 1
```

Peak list (8 most intense, 2θ = 10–90°, low angle first)
d [Å], 2theta, I (rel.), (hkl)
3.129, 28.53, 43, 1 3 2
2.969, 30.10, 59, 2 2 2
2.890, 30.94, 100, 3 1 1
2.782, 32.18, 96, 0 2 3
2.755, 32.50, 90, 2 4 1
2.684, 33.39, 35, 1 5 1
2.526, 35.54, 63, 3 1 2
1.958, 46.38, 28, 2 6 2


Record 3
The following is a computed powder diffractogram of YHo3Mg7. It was derived from DFT lattice parameters and positions (PBE), using Cu Kα (λ = 1.5418 Å).
Peak positions follow from Bragg's law for the DFT cell and can differ from measured ones.

Structure:
```
data_YHo3Mg7
_chemical_formula_sum 'Y2 Ho6 Mg14'
_cell_length_a 10.7238
_cell_length_b 10.1400
_cell_length_c 6.0659
_cell_angle_alpha 90.00
_cell_angle_beta 107.68
_cell_angle_gamma 90.00
_space_group_name_H-M_alt 'C 1 2/m 1'
_space_group_IT_number 12
loop_
_space_group_symop_operation_xyz
'x,y,z'
'-x,-y,-z'
'-x,y,-z'
'x,-y,z'
'x+1/2,y+1/2,z'
'-x+1/2,-y+1/2,-z'
'-x+1/2,y+1/2,-z'
'x+1/2,-y+1/2,z'
loop_
_atom_site_label
_atom_site_type_symbol
_atom_site_fract_x
_atom_site_fract_y
_atom_site_fract_z
_atom_site_occupancy
Y1 Y 0.0000 0.0000 0.0000 1
Ho1 Ho 0.0000 0.3079 0.5000 1
Ho2 Ho 0.0000 0.5000 0.0000 1
Mg1 Mg 0.0000 0.0000 0.5000 1
Mg2 Mg 0.1931 0.2566 0.1902 1
Mg3 Mg 0.2376 0.5000 0.5203 1
```

Peak list (8 most intense, 2θ = 10–90°, low angle first)
d [Å], 2theta, I (rel.), (hkl)
7.197, 12.30, 51, 1 1 0
5.109, 17.36, 100, 2 0 0
3.811, 23.34, 65, 0 2 1
3.398, 26.22, 80, 2 2 -1
2.925, 30.56, 79, 2 0 -2
2.890, 30.95, 37, 0 0 2
2.798, 31.99, 76, 2 2 1
2.554, 35.14, 38, 4 0 0


Record 4
The following is a computed powder diffractogram of YHo6Mg. It was derived from DFT lattice parameters and positions (PBE), using Cu Kα (λ = 1.5418 Å).
Peak positions follow from Bragg's law for the DFT cell and can differ from measured ones.

Structure:
```
data_YHo6Mg
_chemical_formula_sum 'Y3 Ho18 Mg3'
_cell_length_a 9.3381
_cell_length_b 9.3381
_cell_length_c 9.8244
_cell_angle_alpha 90.00
_cell_angle_beta 90.00
_cell_angle_gamma 120.00
_space_group_name_H-M_alt 'R -3'
_space_group_IT_number 148
_space_group_name_Hall '-R 3'
loop_
_atom_site_label
_atom_site_type_symbol
_atom_site_fract_x
_atom_site_fract_y
_atom_site_fract_z
_atom_site_occupancy
Y1 Y 0.0000 0.0000 0.0000 1
Ho1 Ho 0.0190 0.2706 0.7237 1
Mg1 Mg 0.0000 0.0000 0.5000 1
```

Peak list (8 most intense, 2θ = 10–90°, low angle first)
d [Å], 2theta, I (rel.), (hkl)
4.669, 19.01, 26, 1 1 0
3.122, 28.59, 22, 2 0 2
2.919, 30.63, 100, 2 1 1
2.696, 33.24, 33, 3 0 0
2.681, 33.42, 79, 1 1 3
2.595, 34.56, 44, 3 -2 2
1.870, 48.70, 20, 0 4 2
1.823, 50.03, 25, 3 2 1


Record 5
The following is a computed powder diffractogram of YHo7Mg2. It was derived from DFT lattice parameters and positions (PBE), using Cu Kα (λ = 1.5418 Å).
Peak positions follow from Bragg's law for the DFT cell and can differ from measured ones.

Structure:
```
data_YHo7Mg2
_chemical_formula_sum 'Y2 Ho14 Mg4'
_cell_length_a 8.7445
_cell_length_b 16.3148
_cell_length_c 5.2186
_cell_angle_alpha 90.00
_cell_angle_beta 90.00
_cell_angle_gamma 90.00
_space_group_name_H-M_alt 'C m m m'
_space_group_IT_number 65
_space_group_name_Hall '-C 2 2'
loop_
_atom_site_label
_atom_site_type_symbol
_atom_site_fract_x
_atom_site_fract_y
_atom_site_fract_z
_atom_site_occupancy
Y1 Y 0.0000 0.0000 0.0000 1
Ho1 Ho 0.0000 0.2096 0.0000 1
Ho2 Ho 0.0000 0.5000 0.5000 1
Ho3 Ho 0.1817 0.1128 0.5000 1
Mg1 Mg 0.0000 0.2992 0.5000 1
```

Peak list (8 most intense, 2θ = 10–90°, low angle first)
d [Å], 2theta, I (rel.), (hkl)
4.618, 19.22, 43, 1 3 0
3.351, 26.60, 50, 2 0 1
3.214, 27.76, 56, 0 4 1
2.982, 29.96, 67, 2 4 0
2.638, 33.99, 100, 1 5 1
2.609, 34.37, 53, 0 0 2
2.514, 35.71, 80, 3 1 1
1.477, 62.91, 58, 3 9 1


Record 6
The following is a computed powder diffractogram of YHo5Mg2. It was derived from DFT lattice parameters and positions (PBE), using Cu Kα (λ = 1.5418 Å).
Peak positions follow from Bragg's law for the DFT cell and can differ from measured ones.

Structure:
```
data_YHo5Mg2
_chemical_formula_sum 'Y2 Ho10 Mg4'
_cell_length_a 3.4714
_cell_length_b 10.6800
_cell_length_c 12.7856
_cell_angle_alpha 90.00
_cell_angle_beta 90.00
_cell_angle_gamma 90.00
_space_group_name_H-M_alt 'I m m m'
_space_group_IT_number 71
_space_group_name_Hall '-I 2 2'
loop_
_atom_site_label
_atom_site_type_symbol
_atom_site_fract_x
_atom_site_fract_y
_atom_site_fract_z
_atom_site_occupancy
Y1 Y 0.0000 0.0000 0.0000 1
Ho1 Ho 0.0000 0.2289 0.3678 1
Ho2 Ho 0.0000 0.5000 0.0000 1
Mg1 Mg 0.0000 0.5000 0.2606 1
```

Peak list (8 most intense, 2θ = 10–90°, low angle first)
d [Å], 2theta, I (rel.), (hkl)
5.340, 16.60, 26, 0 2 0
2.838, 31.53, 100, 1 2 1
2.743, 32.65, 85, 0 2 4
2.692, 33.29, 58, 1 0 3
2.670, 33.56, 35, 0 4 0
1.896, 48.00, 35, 1 4 3
1.547, 59.77, 25, 1 2 7
1.467, 63.43, 28, 2 2 4


Record 7
The following is a computed powder diffractogram of Y2Ho2Mg3. It was derived from DFT lattice parameters and positions (PBE), using Cu Kα (λ = 1.5418 Å).
Peak positions follow from Bragg's law for the DFT cell and can differ from measured ones.

Structure:
```
data_Y2Ho2Mg3
_chemical_formula_sum 'Y4 Ho4 Mg6'
_cell_length_a 3.7481
_cell_length_b 3.7481
_cell_length_c 27.8043
_cell_angle_alpha 90.00
_cell_angle_beta 90.00
_cell_angle_gamma 90.00
_space_group_name_H-M_alt 'I 4/m m m'
_space_group_IT_number 139
_space_group_name_Hall '-I 4 2'
loop_
_atom_site_label
_atom_site_type_symbol
_atom_site_fract_x
_atom_site_fract_y
_atom_site_fract_z
_atom_site_occupancy
Y1 Y 0.0000 0.0000 0.0685 1
Ho1 Ho 0.0000 0.0000 0.2081 1
Mg1 Mg 0.0000 0.0000 0.3611 1
Mg2 Mg 0.0000 0.0000 0.5000 1
```

Peak list (8 most intense, 2θ = 10–90°, low angle first)
d [Å], 2theta, I (rel.), (hkl)
3.714, 23.96, 25, 1 0 1
3.475, 25.63, 26, 0 0 8
3.108, 28.72, 18, 1 0 5
2.726, 32.85, 100, 1 0 7
2.650, 33.82, 49, 1 1 0
1.874, 48.58, 17, 2 0 0
1.589, 58.03, 17, 1 1 14
1.544, 59.89, 35, 2 1 7


Record 8
The following is a computed powder diffractogram of HoMg2Zn6. It was derived from DFT lattice parameters and positions (PBE), using Cu Kα (λ = 1.5418 Å).
Peak positions follow from Bragg's law for the DFT cell and can differ from measured ones.

Structure:
```
data_HoMg2Zn6
_chemical_formula_sum 'Ho1 Mg2 Zn6'
_cell_length_a 7.7533
_cell_length_b 7.7533
_cell_length_c 3.1745
_cell_angle_alpha 90.00
_cell_angle_beta 90.00
_cell_angle_gamma 120.00
_space_group_name_H-M_alt 'P 6/m m m'
_space_group_IT_number 191
_space_group_name_Hall '-P 6 2'
loop_
_atom_site_label
_atom_site_type_symbol
_atom_site_fract_x
_atom_site_fract_y
_atom_site_fract_z
_atom_site_occupancy
Ho1 Ho 0.0000 0.0000 0.0000 1
Mg1 Mg 0.3333 0.6667 0.0000 1
Zn1 Zn 0.0000 0.3371 0.5000 1
```

Peak list (8 most intense, 2θ = 10–90°, low angle first)
d [Å], 2theta, I (rel.), (hkl)
6.715, 13.19, 53, 1 0 0
3.357, 26.55, 14, 2 0 0
2.870, 31.16, 17, 1 0 1
2.456, 36.59, 100, 1 1 1
2.238, 40.30, 86, 3 0 0
1.654, 55.55, 29, 2 2 1
1.330, 70.83, 27, 4 1 1
1.295, 73.09, 27, 3 0 2


Record 9
The following is a computed powder diffractogram of Ho2MgZn16. It was derived from DFT lattice parameters and positions (PBE), using Cu Kα (λ = 1.5418 Å).
Peak positions follow from Bragg's law for the DFT cell and can differ from measured ones.

Structure:
```
data_Ho2MgZn16
_chemical_formula_sum 'Ho6 Mg3 Zn48'
_cell_length_a 8.9995
_cell_length_b 8.9995
_cell_length_c 13.2276
_cell_angle_alpha 90.00
_cell_angle_beta 90.00
_cell_angle_gamma 120.00
_space_group_name_H-M_alt 'R 3 m'
_space_group_IT_number 160
_space_group_name_Hall 'R 3 -2"'
loop_
_atom_site_label
_atom_site_type_symbol
_atom_site_fract_x
_atom_site_fract_y
_atom_site_fract_z
_atom_site_occupancy
Ho1 Ho 0.0000 0.0000 0.0000 1
Ho2 Ho 0.0000 0.0000 0.3212 1
Mg1 Mg 0.0000 0.0000 0.7533 1
Zn1 Zn 0.0000 0.0000 0.5484 1
Zn2 Zn 0.9997 0.2988 0.6603 1
Zn3 Zn 0.0025 0.5012 0.1607 1
Zn4 Zn 0.0122 0.5061 0.8128 1
Zn5 Zn 0.1711 0.3423 0.8425 1
```

Peak list (8 most intense, 2θ = 10–90°, low angle first)
d [Å], 2theta, I (rel.), (hkl)
3.149, 28.34, 28, 1 1 3
2.598, 34.52, 34, 3 0 0
2.521, 35.61, 24, 0 2 4
2.250, 40.08, 52, 2 2 0
2.238, 40.29, 100, 0 3 3
2.203, 40.96, 47, 0 0 6
2.004, 45.25, 26, 2 2 3
1.574, 58.64, 24, 2 2 6


Record 10
The following is a computed powder diffractogram of Ho2Mg3Zn2. It was derived from DFT lattice parameters and positions (PBE), using Cu Kα (λ = 1.5418 Å).
Peak positions follow from Bragg's law for the DFT cell and can differ from measured ones.

Structure:
```
data_Ho2Mg3Zn2
_chemical_formula_sum 'Ho4 Mg6 Zn4'
_cell_length_a 4.5169
_cell_length_b 20.9919
_cell_length_c 3.3928
_cell_angle_alpha 90.00
_cell_angle_beta 90.00
_cell_angle_gamma 90.00
_space_group_name_H-M_alt 'C m m m'
_space_group_IT_number 65
_space_group_name_Hall '-C 2 2'
loop_
_atom_site_label
_atom_site_type_symbol
_atom_site_fract_x
_atom_site_fract_y
_atom_site_fract_z
_atom_site_occupancy
Ho1 Ho 0.0000 0.1658 0.0000 1
Mg1 Mg 0.0000 0.0000 0.0000 1
Mg2 Mg 0.0000 0.4237 0.5000 1
Zn1 Zn 0.0000 0.2850 0.5000 1
```

Peak list (8 most intense, 2θ = 10–90°, low angle first)
d [Å], 2theta, I (rel.), (hkl)
3.795, 23.44, 47, 1 3 0
2.690, 33.30, 59, 1 1 1
2.529, 35.49, 100, 1 3 1
2.498, 35.95, 51, 1 7 0
2.436, 36.91, 59, 0 6 1
2.278, 39.55, 37, 1 5 1
2.258, 39.92, 37, 2 0 0
1.656, 55.49, 36, 2 6 1


Record 11
The following is a computed powder diffractogram of HoMg9Zn3. It was derived from DFT lattice parameters and positions (PBE), using Cu Kα (λ = 1.5418 Å).
Peak positions follow from Bragg's law for the DFT cell and can differ from measured ones.

Structure:
```
data_HoMg9Zn3
_chemical_formula_sum 'Ho2 Mg18 Zn6'
_cell_length_a 5.6510
_cell_length_b 13.8733
_cell_length_c 7.4532
_cell_angle_alpha 90.00
_cell_angle_beta 111.06
_cell_angle_gamma 90.00
_space_group_name_H-M_alt 'C 1 2/m 1'
_space_group_IT_number 12
loop_
_space_group_symop_operation_xyz
'x,y,z'
'-x,-y,-z'
'-x,y,-z'
'x,-y,z'
'x+1/2,y+1/2,z'
'-x+1/2,-y+1/2,-z'
'-x+1/2,y+1/2,-z'
'x+1/2,-y+1/2,z'
loop_
_atom_site_label
_atom_site_type_symbol
_atom_site_fract_x
_atom_site_fract_y
_atom_site_fract_z
_atom_site_occupancy
Ho1 Ho 0.0000 0.0000 0.0000 1
Mg1 Mg 0.0000 0.0000 0.5000 1
Mg2 Mg 0.0980 0.3916 0.2088 1
Mg3 Mg 0.1698 0.1771 0.3396 1
Zn1 Zn 0.0000 0.5000 0.5000 1
Zn2 Zn 0.2500 0.2500 0.0000 1
```

Peak list (8 most intense, 2θ = 10–90°, low angle first)
d [Å], 2theta, I (rel.), (hkl)
6.953, 12.73, 76, 0 0 1
4.866, 18.23, 52, 1 1 -1
3.473, 25.65, 73, 0 4 0
3.105, 28.75, 34, 0 4 1
2.852, 31.37, 43, 1 3 1
2.465, 36.45, 66, 2 2 0
2.456, 36.59, 100, 0 4 2
2.434, 36.93, 95, 2 2 -2


Record 12
The following is a computed powder diffractogram of Ho4MgZn5. It was derived from DFT lattice parameters and positions (PBE), using Cu Kα (λ = 1.5418 Å).
Peak positions follow from Bragg's law for the DFT cell and can differ from measured ones.

Structure:
```
data_Ho4MgZn5
_chemical_formula_sum 'Ho4 Mg1 Zn5'
_cell_length_a 3.5176
_cell_length_b 3.5176
_cell_length_c 17.4188
_cell_angle_alpha 90.00
_cell_angle_beta 90.00
_cell_angle_gamma 90.00
_space_group_name_H-M_alt 'P 4/m m m'
_space_group_IT_number 123
_space_group_name_Hall '-P 4 2'
loop_
_atom_site_label
_atom_site_type_symbol
_atom_site_fract_x
_atom_site_fract_y
_atom_site_fract_z
_atom_site_occupancy
Ho1 Ho 0.0000 0.0000 0.1027 1
Ho2 Ho 0.0000 0.0000 0.3072 1
Mg1 Mg 0.0000 0.0000 0.5000 1
Zn1 Zn 0.5000 0.5000 0.0000 1
Zn2 Zn 0.5000 0.5000 0.2046 1
Zn3 Zn 0.5000 0.5000 0.4129 1
```

Peak list (8 most intense, 2θ = 10–90°, low angle first)
d [Å], 2theta, I (rel.), (hkl)
3.518, 25.32, 12, 1 0 0
2.487, 36.11, 54, 1 1 0
2.475, 36.29, 100, 1 0 5
1.759, 51.99, 19, 2 0 0
1.434, 65.06, 35, 2 1 5
1.427, 65.41, 15, 1 1 10
1.238, 77.06, 9, 2 0 10
1.112, 87.74, 9, 3 1 0


Record 13
The following is a computed powder diffractogram of Ho3Mg2Zn4. It was derived from DFT lattice parameters and positions (PBE), using Cu Kα (λ = 1.5418 Å).
Peak positions follow from Bragg's law for the DFT cell and can differ from measured ones.

Structure:
```
data_Ho3Mg2Zn4
_chemical_formula_sum 'Ho3 Mg2 Zn4'
_cell_length_a 4.9043
_cell_length_b 4.9043
_cell_length_c 9.1090
_cell_angle_alpha 90.00
_cell_angle_beta 90.00
_cell_angle_gamma 120.00
_space_group_name_H-M_alt 'P -3 m 1'
_space_group_IT_number 164
_space_group_name_Hall '-P 3 2"'
loop_
_atom_site_label
_atom_site_type_symbol
_atom_site_fract_x
_atom_site_fract_y
_atom_site_fract_z
_atom_site_occupancy
Ho1 Ho 0.0000 0.0000 0.0000 1
Ho2 Ho 0.3333 0.6667 0.5957 1
Mg1 Mg 0.3333 0.6667 0.2227 1
Zn1 Zn 0.0000 0.0000 0.3443 1
Zn2 Zn 0.3333 0.6667 0.9131 1
```

Peak list (8 most intense, 2θ = 10–90°, low angle first)
d [Å], 2theta, I (rel.), (hkl)
3.849, 23.11, 52, 1 0 1
3.106, 28.74, 17, 0 1 2
2.470, 36.37, 81, 1 0 3
2.452, 36.65, 100, 1 1 0
1.908, 47.67, 16, 1 1 3
1.740, 52.59, 28, 0 2 3
1.419, 65.81, 28, 2 1 3
1.416, 65.99, 17, 3 0 0